Computed X-ray powder pattern of KMgN2 for Cu Ka, from a PBE-relaxed structure.
Lines closer than 0.1° are merged.

Cell and atoms:
a = 4.488 Å, b = 4.488 Å, c = 13.463 Å
α = 90.00°, β = 90.00°, γ = 90.00°
Fractional positions:
K: 0.000 0.250 0.375
K: 0.000 0.750 0.625
K: 0.500 0.250 0.125
K: 0.500 0.750 0.875
Mg: 0.000 0.250 0.875
Mg: 0.000 0.750 0.125
Mg: 0.500 0.250 0.625
Mg: 0.500 0.750 0.375
N: 0.000 0.000 0.000
N: 0.000 0.500 0.000
N: 0.250 0.250 0.750
N: 0.250 0.750 0.250
N: 0.500 0.000 0.500
N: 0.500 0.500 0.500
N: 0.750 0.250 0.750
N: 0.750 0.750 0.250

Most intense lines, 5 to 70 degrees two-theta, by intensity:
| 2θ/deg | I_rel | index |
| --- | --- | --- |
| 31.16 | 100 | 1 1 2 |
| 48.77 | 26 | 2 0 4 |
| 49.77 | 24 | 1 1 6 |
| 40.19 | 24 | 2 0 0 |
| 67.44 | 19 | 3 1 2 |
| 28.12 | 19 | 1 0 3 |

***

Computed X-ray powder pattern of KNaMg14O15 for Cu Ka, from a PBE-relaxed structure.
Lines closer than 0.1° are merged.

Cell and atoms:
a = 4.384 Å, b = 8.838 Å, c = 8.488 Å
α = 90.00°, β = 90.00°, γ = 90.00°
Fractional positions:
K: 0.000 0.000 0.000
Na: 0.000 0.500 0.916
Mg: 0.000 0.000 0.449
Mg: 0.000 0.247 0.689
Mg: 0.000 0.283 0.167
Mg: 0.000 0.500 0.428
Mg: 0.000 0.717 0.167
Mg: 0.000 0.753 0.689
Mg: 0.500 0.000 0.175
Mg: 0.500 0.000 0.696
Mg: 0.500 0.247 0.424
Mg: 0.500 0.258 0.923
Mg: 0.500 0.500 0.170
Mg: 0.500 0.500 0.678
Mg: 0.500 0.742 0.923
Mg: 0.500 0.753 0.424
O: 0.000 0.000 0.675
O: 0.000 0.233 0.408
O: 0.000 0.257 0.930
O: 0.000 0.500 0.193
O: 0.000 0.500 0.656
O: 0.000 0.743 0.930
O: 0.000 0.767 0.408
O: 0.500 0.000 0.411
O: 0.500 0.000 0.932
O: 0.500 0.239 0.174
O: 0.500 0.247 0.672
O: 0.500 0.500 0.419
O: 0.500 0.500 0.929
O: 0.500 0.753 0.672
O: 0.500 0.761 0.174

Most intense lines, 5 to 70 degrees two-theta, by intensity:
| 2θ/deg | I_rel | index |
| --- | --- | --- |
| 41.18 | 100 | 2 0 0 |
| 40.84 | 96 | 0 4 0 |
| 42.61 | 75 | 0 0 4 |
| 59.39 | 55 | 2 4 0 |
| 60.74 | 42 | 2 0 4 |
| 60.50 | 42 | 0 4 4 |

***

Computed X-ray powder pattern of KNaMg14O15 for Cu Ka, from a PBE-relaxed structure.
Lines closer than 0.1° are merged.

Cell and atoms:
a = 4.401 Å, b = 8.785 Å, c = 8.658 Å
α = 90.00°, β = 90.00°, γ = 90.00°
Fractional positions:
K: 0.000 0.000 0.000
Na: 0.000 0.500 0.006
Mg: 0.000 0.000 0.512
Mg: 0.000 0.224 0.260
Mg: 0.000 0.254 0.770
Mg: 0.000 0.500 0.531
Mg: 0.000 0.746 0.770
Mg: 0.000 0.776 0.260
Mg: 0.500 0.000 0.265
Mg: 0.500 0.000 0.758
Mg: 0.500 0.252 0.021
Mg: 0.500 0.254 0.512
Mg: 0.500 0.500 0.256
Mg: 0.500 0.500 0.781
Mg: 0.500 0.746 0.512
Mg: 0.500 0.748 0.021
O: 0.000 0.000 0.288
O: 0.000 0.000 0.732
O: 0.000 0.265 0.030
O: 0.000 0.266 0.501
O: 0.000 0.500 0.754
O: 0.000 0.734 0.501
O: 0.000 0.735 0.030
O: 0.500 0.000 0.030
O: 0.500 0.000 0.510
O: 0.500 0.253 0.764
O: 0.500 0.259 0.268
O: 0.500 0.500 0.026
O: 0.500 0.500 0.496
O: 0.500 0.741 0.268
O: 0.500 0.747 0.764

Most intense lines, 5 to 70 degrees two-theta, by intensity:
| 2θ/deg | I_rel | index |
| --- | --- | --- |
| 41.06 | 100 | 2 0 0 |
| 59.98 | 51 | 2 0 4 |
| 41.73 | 45 | 0 0 4 |
| 59.46 | 28 | 2 4 0 |
| 35.55 | 22 | 1 2 2 |
| 10.07 | 4 | 0 1 0 |

***

Computed X-ray powder pattern of KNaMg14O15 for Cu Ka, from a PBE-relaxed structure.
Lines closer than 0.1° are merged.

Cell and atoms:
a = 4.411 Å, b = 8.643 Å, c = 8.805 Å
α = 90.00°, β = 90.00°, γ = 90.00°
Fractional positions:
K: 0.000 0.000 0.000
Na: 0.000 0.500 0.481
Mg: 0.000 0.000 0.488
Mg: 0.000 0.225 0.728
Mg: 0.000 0.250 0.256
Mg: 0.000 0.500 0.006
Mg: 0.000 0.750 0.256
Mg: 0.000 0.775 0.728
Mg: 0.500 0.000 0.249
Mg: 0.500 0.000 0.730
Mg: 0.500 0.251 0.973
Mg: 0.500 0.254 0.490
Mg: 0.500 0.500 0.238
Mg: 0.500 0.500 0.736
Mg: 0.500 0.746 0.490
Mg: 0.500 0.749 0.973
O: 0.000 0.000 0.266
O: 0.000 0.000 0.714
O: 0.000 0.243 0.492
O: 0.000 0.284 0.949
O: 0.000 0.500 0.229
O: 0.000 0.716 0.949
O: 0.000 0.757 0.492
O: 0.500 0.000 0.489
O: 0.500 0.000 0.960
O: 0.500 0.251 0.234
O: 0.500 0.260 0.728
O: 0.500 0.500 0.500
O: 0.500 0.500 0.976
O: 0.500 0.740 0.728
O: 0.500 0.749 0.234

Most intense lines, 5 to 70 degrees two-theta, by intensity:
| 2θ/deg | I_rel | index |
| --- | --- | --- |
| 40.96 | 100 | 2 0 0 |
| 59.96 | 52 | 2 4 0 |
| 41.81 | 47 | 0 4 0 |
| 59.31 | 27 | 2 0 4 |
| 35.52 | 24 | 1 2 2 |
| 10.23 | 4 | 0 1 0 |